Diffraction record for KCaCeSbO6. The X-ray diffraction stick pattern is theoretical, not measured: it uses a cell relaxed with PBE and Cu Kα (weighted mean of Kα1 and Kα2).
Peak positions follow from Bragg's law for the DFT cell and can differ from measured ones.

The 12 most intense peaks (10° ≤ 2θ ≤ 90°), sorted by position:
2θ 21.09, d = 4.213 Å, intensity 56; 2θ 29.99, d = 2.979 Å, intensity 100; 2θ 36.95, d = 2.433 Å, intensity 3; 2θ 42.93, d = 2.107 Å, intensity 36; 2θ 48.30, d = 1.884 Å, intensity 24; 2θ 53.25, d = 1.720 Å, intensity 39; 2θ 62.33, d = 1.490 Å, intensity 21; 2θ 66.58, d = 1.404 Å, intensity 11; 2θ 70.70, d = 1.332 Å, intensity 17; 2θ 78.67, d = 1.216 Å, intensity 7; 2θ 82.56, d = 1.169 Å, intensity 5; 2θ 86.41, d = 1.126 Å, intensity 20

Structure:
```
KCaCeSbO6
1.0
0.000 4.213 4.213
4.213 0.000 4.213
4.213 4.213 0.000
K Ca Ce Sb O
1 1 1 1 6
direct
0.000 0.000 0.000 K
0.500 0.500 0.500 Ca
0.250 0.250 0.250 Ce
0.750 0.750 0.750 Sb
0.513 0.513 0.987 O
0.513 0.987 0.513 O
0.513 0.987 0.987 O
0.987 0.513 0.513 O
0.987 0.513 0.987 O
0.987 0.987 0.513 O
```